This entry pairs a crystal structure of MnCuC4O12 with its simulated XRD peak list. Radiation: Cu Kα. Structure: a crystal structure in the Materials Project, relaxed with PBE+U.
Kinematic intensities with the Lorentz-polarization factor, no thermal factor.

Cell and atoms:
Lattice parameters (Å, degrees): 8.7174 8.4231 9.4957 90.00 95.63 90.00
Space group P2_1/c (No. 14)
Unique sites:
Mn1 0.0000 0.0000 0.0000 [2 per cell]
Cu1 0.5000 0.0000 0.5000 [2 per cell]
C1 0.1756 0.1572 0.5424 [4 per cell]
C2 0.4013 0.6860 0.6930 [4 per cell]
O1 0.0555 0.1782 0.5848 [4 per cell]
O2 0.0889 0.5802 0.6488 [4 per cell]
O3 0.2023 0.0188 0.9489 [4 per cell]
O4 0.2966 0.1296 0.5017 [4 per cell]
O5 0.3993 0.7214 0.1004 [4 per cell]
O6 0.4110 0.5960 0.7882 [4 per cell]

Top 10 peaks for 2θ = 10–80°, low angle first:
d 5.257, rel. 100, (1 1 -1)
d 4.940, rel. 57, (1 1 1)
d 4.725, rel. 47, (0 0 2)
d 4.336, rel. 27, (2 0 0)
d 3.851, rel. 27, (0 2 1)
d 3.605, rel. 19, (1 1 2)
d 3.144, rel. 15, (0 2 2)
d 2.718, rel. 16, (1 1 3)
d 2.694, rel. 21, (3 1 -1)
d 2.550, rel. 16, (1 3 1)

=====

This entry pairs a crystal structure of ErFeC6N6O5 with its simulated XRD peak list. Radiation: Cu Kα. Structure: a crystal structure in the Materials Project, relaxed with PBE+U.
Kinematic intensities with the Lorentz-polarization factor, no thermal factor.

Cell and atoms:
Lattice parameters (Å, degrees): 7.4498 7.4498 13.4085 90.00 90.00 120.00
Space group P6_3/m (No. 176)
Unique sites:
Er1 0.3333 0.6667 0.2500 [2 per cell]
Fe1 0.0000 0.0000 0.0000 [2 per cell]
C1 0.1097 0.8620 0.0820 [12 per cell]
N1 0.1768 0.7857 0.1356 [12 per cell]
O1 0.1190 0.5791 0.7500 [6 per cell]
O2 0.3333 0.6667 0.6509 [4 per cell]

Top 10 peaks for 2θ = 10–80°, low angle first:
d 6.704, rel. 22, (0 0 2)
d 5.814, rel. 72, (1 0 1)
d 4.649, rel. 100, (1 0 2)
d 3.725, rel. 44, (1 1 0)
d 3.256, rel. 17, (1 1 2)
d 2.616, rel. 32, (2 0 3)
d 2.492, rel. 28, (1 1 4)
d 2.399, rel. 26, (1 2 1)
d 2.292, rel. 17, (1 2 2)
d 1.804, rel. 18, (1 2 5)